[1]
Simulated XRD peak list of Ag9Ge2 for λ = 1.5418 Å (Cu Kα), from DFT lattice parameters and positions (PBE).

Structural model:
```
data_Ag9Ge2
_chemical_formula_sum 'Ag9 Ge2'
_symmetry_space_group_name_H-M 'P -3 m 1'
_symmetry_Int_Tables_number 164
_symmetry_space_group_name_Hall '-P 3 2"'
_cell_length_a 2.9364
_cell_length_b 2.9364
_cell_length_c 36.1764
_cell_angle_alpha 90.00
_cell_angle_beta 90.00
_cell_angle_gamma 120.00
loop_
_atom_site_label
_atom_site_fract_x
_atom_site_fract_y
_atom_site_fract_z
Ag1 0.0000 0.0000 0.0000
Ag2 0.0000 0.0000 0.1997
Ag3 0.3333 0.6667 0.1327
Ag4 0.3333 0.6667 0.7334
Ag5 0.3333 0.6667 0.9339
Ge1 0.3333 0.6667 0.3318
```

Main lines, in order of rising 2θ (2θ = 10–90°):
hkl	Position (°2θ)	I_rel
1 0 4	36.71	14
0 0 15	37.28	34
1 0 5	37.49	100
1 0 6	38.42	15
0 1 10	43.50	65
1 0 20	63.07	20
1 1 0	63.36	26
0 1 25	75.61	12
1 1 15	75.86	23
0 2 5	75.99	12

***

[2]
Simulated XRD peak list of Lu3P11 for λ = 1.5418 Å (Cu Kα), from DFT lattice parameters and positions (PBE).

Structural model:
```
data_Lu3P11
_chemical_formula_sum 'Lu6 P22'
_symmetry_space_group_name_H-M 'C 1 m 1'
_symmetry_Int_Tables_number 8
_cell_length_a 12.5824
_cell_length_b 7.6676
_cell_length_c 5.6684
_cell_angle_alpha 90.00
_cell_angle_beta 96.88
_cell_angle_gamma 90.00
loop_
_symmetry_equiv_pos_as_xyz
'x,y,z'
'x,-y,z'
'x+1/2,y+1/2,z'
'x+1/2,-y+1/2,z'
loop_
_atom_site_label
_atom_site_fract_x
_atom_site_fract_y
_atom_site_fract_z
Lu1 0.0000 0.0000 0.0000
Lu2 0.0934 0.5000 0.2624
Lu3 0.2955 0.0000 0.0364
P1 0.1457 0.2494 0.9491
P2 0.1677 0.0000 0.4072
P3 0.2046 0.2459 0.6031
P4 0.3110 0.5000 0.1713
P5 0.3874 0.2551 0.6761
P6 0.4095 0.2592 0.3008
P7 0.4787 0.0000 0.7793
```

Main lines, in order of rising 2θ (2θ = 10–90°):
hkl	Position (°2θ)	I_rel
0 0 1	15.75	100
1 1 -1	20.17	59
0 2 0	23.20	48
3 1 0	24.32	87
0 2 1	28.16	99
3 1 1	30.51	99
4 0 -1	31.04	57
1 1 -2	33.89	53
4 2 0	37.13	56
4 2 -1	39.09	74

***

[3]
Simulated XRD peak list of InAg3PtS4 for λ = 1.5418 Å (Cu Kα), from DFT lattice parameters and positions (PBE).

Structural model:
```
data_InAg3PtS4
_chemical_formula_sum 'In1 Ag3 Pt1 S4'
_symmetry_space_group_name_H-M 'P -4 3 m'
_symmetry_Int_Tables_number 215
_symmetry_space_group_name_Hall 'P -4 2 3'
_cell_length_a 5.9408
_cell_length_b 5.9408
_cell_length_c 5.9408
_cell_angle_alpha 90.00
_cell_angle_beta 90.00
_cell_angle_gamma 90.00
loop_
_atom_site_label
_atom_site_fract_x
_atom_site_fract_y
_atom_site_fract_z
In1 0.0000 0.0000 0.0000
Ag1 0.0000 0.5000 0.5000
Pt1 0.5000 0.5000 0.5000
S1 0.2548 0.2548 0.2548
```

Main lines, in order of rising 2θ (2θ = 10–90°):
hkl	Position (°2θ)	I_rel
1 0 0	14.91	43
1 1 0	21.15	41
1 1 1	25.98	40
2 0 0	30.08	59
2 1 0	33.74	22
2 1 1	37.07	20
2 2 0	43.07	100
3 1 1	50.98	16
4 2 0	70.95	20
4 2 2	78.95	32

***

[4]
Simulated XRD peak list of K2RbOsF7 for λ = 1.5418 Å (Cu Kα), from DFT lattice parameters and positions (PBE).

Structural model:
```
data_K2RbOsF7
_chemical_formula_sum 'K4 Rb2 Os2 F14'
_symmetry_space_group_name_H-M 'C 1 m 1'
_symmetry_Int_Tables_number 8
_cell_length_a 8.1994
_cell_length_b 8.0509
_cell_length_c 6.3643
_cell_angle_alpha 90.00
_cell_angle_beta 122.99
_cell_angle_gamma 90.00
loop_
_symmetry_equiv_pos_as_xyz
'x,y,z'
'x,-y,z'
'x+1/2,y+1/2,z'
'x+1/2,-y+1/2,z'
loop_
_atom_site_label
_atom_site_fract_x
_atom_site_fract_y
_atom_site_fract_z
K1 0.0000 0.2409 0.0000
Rb1 0.0057 0.5000 0.4580
Os1 0.0460 0.0000 0.5305
F1 0.1344 0.2174 0.7257
F2 0.1374 0.0000 0.2889
F3 0.3399 0.0000 0.7458
F4 0.3570 0.3359 0.2810
F5 0.3874 0.5000 0.6843
```

Main lines, in order of rising 2θ (2θ = 10–90°):
hkl	Position (°2θ)	I_rel
0 0 1	16.61	60
1 1 0	16.96	55
1 1 -1	18.18	33
2 0 -1	21.83	32
2 0 0	25.91	47
0 2 1	27.76	100
2 0 -2	29.11	49
2 2 -1	31.25	36
2 2 1	44.47	61
2 2 -3	48.53	28

***

[5]
Simulated XRD peak list of ZnNi15 for λ = 1.5418 Å (Cu Kα), from DFT lattice parameters and positions (PBE).

Structural model:
```
data_ZnNi15
_chemical_formula_sum 'Zn2 Ni30'
_symmetry_space_group_name_H-M 'P 1 21/m 1'
_symmetry_Int_Tables_number 11
_cell_length_a 6.9444
_cell_length_b 2.4866
_cell_length_c 33.5200
_cell_angle_alpha 90.00
_cell_angle_beta 90.00
_cell_angle_gamma 90.00
loop_
_symmetry_equiv_pos_as_xyz
'x,y,z'
'-x,-y,-z'
'-x,y+1/2,-z'
'x,-y+1/2,z'
loop_
_atom_site_label
_atom_site_fract_x
_atom_site_fract_y
_atom_site_fract_z
Zn1 0.1250 0.2500 0.2214
Ni1 0.1244 0.2500 0.6663
Ni2 0.1250 0.2500 0.2972
Ni3 0.1249 0.2500 0.3709
Ni4 0.1249 0.2500 0.4445
Ni5 0.1252 0.2500 0.5184
Ni6 0.1253 0.2500 0.5923
Ni7 0.1263 0.2500 0.7416
Ni8 0.3744 0.7500 0.3337
Ni9 0.3753 0.7500 0.4076
Ni10 0.3753 0.7500 0.4814
Ni11 0.3749 0.7500 0.5555
Ni12 0.3749 0.7500 0.6295
Ni13 0.3751 0.7500 0.7027
Ni14 0.3750 0.7500 0.7757
Ni15 0.3763 0.7500 0.2583
```

Main lines, in order of rising 2θ (2θ = 10–90°):
hkl	Position (°2θ)	I_rel
0 0 4	10.56	20
2 0 13	43.73	52
2 1 0	44.86	100
2 0 14	46.05	46
0 1 13	51.03	32
4 0 0	52.75	30
0 1 14	53.10	30
4 1 13	76.43	17
0 2 0	76.66	9
4 1 14	78.11	17

***

[6]
Simulated XRD peak list of SiGe2Pd6 for λ = 1.5418 Å (Cu Kα), from DFT lattice parameters and positions (PBE).

Structural model:
```
data_SiGe2Pd6
_chemical_formula_sum 'Si1 Ge2 Pd6'
_symmetry_space_group_name_H-M 'P -6 2 m'
_symmetry_Int_Tables_number 189
_symmetry_space_group_name_Hall 'P -6 -2'
_cell_length_a 6.6933
_cell_length_b 6.6933
_cell_length_c 3.4987
_cell_angle_alpha 90.00
_cell_angle_beta 90.00
_cell_angle_gamma 120.00
loop_
_atom_site_label
_atom_site_fract_x
_atom_site_fract_y
_atom_site_fract_z
Si1 0.0000 0.0000 0.0000
Ge1 0.3333 0.6667 0.5000
Pd1 0.0000 0.2583 0.5000
Pd2 0.0000 0.6093 0.0000
```

Main lines, in order of rising 2θ (2θ = 10–90°):
hkl	Position (°2θ)	I_rel
1 1 1	37.18	100
2 0 1	40.41	42
2 1 0	41.20	42
3 0 0	47.03	29
2 1 1	49.06	15
0 0 2	52.30	17
2 1 2	68.66	18
3 0 2	72.95	15
3 2 1	76.66	19
1 1 3	88.89	13